This entry pairs a crystal structure of Ac3Sc2ZnO9 with its theoretical powder diffraction line list. Radiation: Cu Kα, 1.54184 Å. Structure: a DFT-relaxed cell (GGA-PBE, Alexandria).
No peak broadening, texture or thermal motion is included.

Cell and atoms:
```
15
Lattice="5.775 0.000 0.000 -2.888 5.001 0.000 0.000 0.000 7.098" Properties=species:S:1:pos:R:3 pbc="T T T"
Ac 0.000 0.000 0.000
Ac 0.000 3.334 4.648
Ac 2.888 1.667 2.450
Sc 0.000 3.334 1.185
Sc 2.888 1.667 5.913
Zn 0.000 0.000 3.549
O -1.444 2.501 0.000
O 0.000 1.664 2.388
O -1.447 4.169 2.388
O 1.441 0.832 4.710
O 2.888 0.000 0.000
O 1.444 2.501 0.000
O 1.447 4.169 2.388
O 4.334 0.832 4.710
O 2.888 3.338 4.710
```

Largest 10 diffraction maxima, in order of falling intensity, 2θ from 10° to 80°:
two_theta	Rel. int.
30.93	1000
21.74	382
55.06	306
44.31	291
38.16	203
54.90	102
49.93	98
49.83	95
64.55	91
64.38	91



This entry pairs a crystal structure of Co4Rh with its theoretical powder diffraction line list. Radiation: Cu Kα, 1.54184 Å. Structure: a DFT-relaxed cell (GGA-PBE, Alexandria).
No peak broadening, texture or thermal motion is included.

Cell and atoms:
```
5
Lattice="0.000 2.148 10.508 1.334 0.000 10.508 1.334 2.148 0.000" Properties=species:S:1:pos:R:3 pbc="T T T"
Co 1.334 2.148 2.219
Co 1.334 2.148 6.278
Co 1.334 2.148 14.738
Co 1.334 2.148 18.796
Rh 1.334 2.148 10.508
```

Largest 10 diffraction maxima, in order of falling intensity, 2θ from 10° to 80°:
two_theta	Rel. int.
45.47	1000
42.07	320
43.04	291
61.76	184
79.28	175
70.61	62
16.88	38
41.89	35
25.43	31
34.13	29



This entry pairs a crystal structure of EuErTlPd with its theoretical powder diffraction line list. Radiation: Cu Kα, 1.54184 Å. Structure: a DFT-relaxed cell (GGA-PBE, Alexandria).
No peak broadening, texture or thermal motion is included.

Cell and atoms:
```
16
Lattice="7.420 0.000 0.000 0.000 7.420 0.000 0.000 0.000 7.420" Properties=species:S:1:pos:R:3 pbc="T T T"
Eu 0.000 0.000 0.000
Eu 0.000 3.710 3.710
Eu 3.710 0.000 3.710
Eu 3.710 3.710 0.000
Er 0.000 0.000 3.710
Er 0.000 3.710 0.000
Er 3.710 0.000 0.000
Er 3.710 3.710 3.710
Tl 1.855 1.855 5.565
Tl 1.855 5.565 1.855
Tl 5.565 1.855 1.855
Tl 5.565 5.565 5.565
Pd 1.855 1.855 1.855
Pd 1.855 5.565 5.565
Pd 5.565 1.855 5.565
Pd 5.565 5.565 1.855
```

Largest 9 diffraction maxima, in order of falling intensity, 2θ from 10° to 80°:
two_theta	Rel. int.
34.18	1000
61.20	374
49.12	181
72.00	116
20.74	47
40.32	28
53.86	13
75.86	10
65.35	10



This entry pairs a crystal structure of K2ErF6 with its theoretical powder diffraction line list. Radiation: Cu Kα, 1.54184 Å. Structure: a DFT-relaxed cell (GGA-PBE, Alexandria).
No peak broadening, texture or thermal motion is included.

Cell and atoms:
```
9
Lattice="6.387 -3.166 0.000 6.387 3.166 0.000 -0.985 0.000 3.848" Properties=species:S:1:pos:R:3 pbc="T T T"
K 1.999 0.000 0.626
K 9.791 0.000 3.222
Er 5.895 0.000 1.924
F 4.249 1.382 1.385
F 6.387 1.249 0.000
F 7.540 1.382 2.463
F 4.249 -1.382 1.385
F 6.387 -1.249 0.000
F 7.540 -1.382 2.463
```

Largest 10 diffraction maxima, in order of falling intensity, 2θ from 10° to 80°:
two_theta	Rel. int.
15.72	1000
25.78	890
26.53	851
14.31	607
41.81	455
43.41	414
45.79	191
43.90	177
40.76	166
53.40	165



This entry pairs a crystal structure of DyYSc2S4 with its theoretical powder diffraction line list. Radiation: Cu Kα, 1.54184 Å. Structure: a DFT-relaxed cell (GGA-PBE, Alexandria).
No peak broadening, texture or thermal motion is included.

Cell and atoms:
```
8
Lattice="6.597 0.000 0.000 0.000 3.779 0.000 -2.174 0.000 6.244" Properties=species:S:1:pos:R:3 pbc="T T T"
Dy 0.000 0.000 0.000
Y 3.298 1.889 0.000
Sc -1.087 1.889 3.122
Sc 2.211 0.000 3.122
S 0.015 0.000 4.578
S 1.103 1.889 1.664
S 3.320 1.889 4.580
S 4.408 0.000 1.666
```

Largest 10 diffraction maxima, in order of falling intensity, 2θ from 10° to 80°:
two_theta	Rel. int.
33.31	1000
47.82	454
14.19	283
28.62	191
28.87	184
27.61	155
47.53	114
59.80	113
48.16	112
69.96	103



This entry pairs a crystal structure of K3RbO with its theoretical powder diffraction line list. Radiation: Cu Kα, 1.54184 Å. Structure: a DFT-relaxed cell (GGA-PBE, Alexandria).
No peak broadening, texture or thermal motion is included.

Cell and atoms:
```
10
Lattice="8.358 0.000 0.000 3.923 7.634 0.000 4.175 0.699 7.584" Properties=species:S:1:pos:R:3 pbc="T T T"
K 4.052 2.887 2.610
K 6.133 2.402 5.697
K 8.220 5.449 4.973
K 8.236 2.884 2.610
K 10.323 5.931 1.887
K 12.404 5.447 4.974
Rb 6.143 6.034 1.759
Rb 10.313 2.299 5.825
O 6.136 4.168 3.792
O 10.319 4.165 3.792
```

Largest 10 diffraction maxima, in order of falling intensity, 2θ from 10° to 80°:
two_theta	Rel. int.
23.43	1000
27.19	995
15.73	899
11.65	830
27.86	622
26.86	592
26.27	575
34.92	462
36.37	455
38.12	302